Structure and computed powder XRD pattern of Ho2Er15Sc2 (the GGA-PBE geometry in Alexandria; λ = 1.5418 Å (Cu Kα)).

Largest 10 diffraction maxima, in order of rising 2θ, 10 to 80 degrees two-theta:
two_theta, d (Å), intensity
16.17, 5.481, 306
27.88, 3.200, 184
28.20, 3.165, 160
30.96, 2.888, 334
31.97, 2.799, 430
32.25, 2.775, 1000
32.67, 2.741, 419
36.28, 2.476, 612
52.53, 1.742, 176
58.31, 1.582, 199

Structure:
```
Ho2Er15Sc2
1.0
5.481 3.165 5.776
-5.481 3.165 5.776
0.000 -6.329 5.776
Ho Er Sc
2 15 2
Cartesian
0.000 0.000 3.110
0.000 0.000 14.218
-2.741 -1.582 5.776
0.000 -3.234 5.266
-2.801 1.617 5.266
-1.622 -2.810 8.664
-3.244 0.000 8.664
-2.801 -1.617 12.063
-2.741 1.582 11.552
1.622 -2.810 8.664
0.000 3.165 5.776
-1.622 2.810 8.664
2.801 1.617 5.266
3.244 0.000 8.664
1.622 2.810 8.664
2.801 -1.617 12.063
0.000 3.234 12.063
0.000 0.000 7.086
0.000 0.000 10.242
```


Structure and computed powder XRD pattern of Ho7Er2Sc2 (the GGA-PBE geometry in Alexandria; λ = 1.5418 Å (Cu Kα)).

Largest 10 diffraction maxima, in order of rising 2θ, 10 to 80 degrees two-theta:
two_theta, d (Å), intensity
15.62, 5.673, 113
27.57, 3.236, 109
28.66, 3.115, 181
31.54, 2.837, 329
31.81, 2.813, 211
34.01, 2.636, 1000
35.64, 2.519, 223
45.41, 1.997, 144
57.76, 1.596, 186
62.23, 1.492, 96

Structure:
```
Ho7Er2Sc2
1.0
-1.754 8.439 5.673
1.754 -8.439 5.673
1.754 8.439 -5.673
Ho Er Sc
7 2 2
Cartesian
0.000 0.000 0.000
1.754 2.807 -0.053
1.754 -2.826 5.309
1.754 5.052 2.630
1.754 2.826 5.309
0.000 5.633 5.620
0.000 3.387 8.303
0.000 0.000 5.390
0.000 8.439 2.711
1.754 6.443 -3.021
0.000 1.997 2.652
```


Structure and computed powder XRD pattern of Ho2Er3Sc3 (the GGA-PBE geometry in Alexandria; λ = 1.5418 Å (Cu Kα)).

Largest 10 diffraction maxima, in order of rising 2θ, 10 to 80 degrees two-theta:
two_theta, d (Å), intensity
19.27, 4.607, 215
25.07, 3.552, 140
26.15, 3.408, 152
31.06, 2.879, 318
31.27, 2.860, 174
32.41, 2.763, 454
34.18, 2.623, 1000
34.26, 2.617, 235
34.41, 2.606, 209
53.45, 1.714, 219

Structure:
```
Ho2Er3Sc3
1.0
11.427 -1.724 0.000
11.427 1.724 0.000
-1.508 0.000 5.732
Ho Er Sc
2 3 3
Cartesian
5.287 0.000 1.399
16.060 0.000 4.333
0.000 0.000 0.000
2.109 0.000 2.653
19.237 0.000 3.079
8.544 0.000 0.239
10.673 0.000 2.866
12.803 0.000 5.493
```


Structure and computed powder XRD pattern of HoEr6Sc (the GGA-PBE geometry in Alexandria; λ = 1.5418 Å (Cu Kα)).

Largest 10 diffraction maxima, in order of rising 2θ, 10 to 80 degrees two-theta:
two_theta, d (Å), intensity
28.86, 3.093, 318
28.97, 3.083, 154
30.89, 2.894, 372
31.31, 2.857, 1000
31.99, 2.798, 351
33.08, 2.708, 164
34.41, 2.607, 220
35.98, 2.496, 214
36.32, 2.474, 145
36.75, 2.445, 175

Structure:
```
HoEr6Sc
1.0
6.418 0.000 0.000
-0.230 6.658 0.000
-1.455 -3.251 5.713
Ho Er Sc
1 6 1
Cartesian
0.000 0.000 0.000
0.683 2.275 2.800
1.484 3.714 0.021
0.958 -1.094 3.034
3.775 4.501 2.680
3.249 -0.307 5.692
4.050 1.132 2.913
3.209 0.000 0.000
```


Structure and computed powder XRD pattern of Ho4Er2Sc (the GGA-PBE geometry in Alexandria; λ = 1.5418 Å (Cu Kα)).

Largest 10 diffraction maxima, in order of rising 2θ, 10 to 80 degrees two-theta:
two_theta, d (Å), intensity
27.11, 3.289, 158
30.57, 2.924, 201
30.92, 2.892, 1000
32.67, 2.741, 838
32.81, 2.730, 191
33.01, 2.713, 496
34.55, 2.596, 280
47.23, 1.924, 138
57.66, 1.599, 265
58.74, 1.572, 158

Structure:
```
Ho4Er2Sc
1.0
5.427 0.000 0.000
0.000 11.997 0.000
0.000 0.000 13.173
Ho Er Sc
16 8 4
Cartesian
0.011 1.712 2.375
0.011 2.927 5.596
0.011 3.071 12.182
0.011 4.287 8.961
2.702 7.710 2.375
2.703 8.926 5.596
2.703 9.070 12.182
2.702 10.285 8.961
2.725 1.712 4.211
2.724 2.927 0.990
2.724 3.071 7.577
2.725 4.287 10.798
5.416 7.710 4.211
5.416 8.926 0.990
5.416 9.070 7.577
5.416 10.285 10.798
0.003 0.848 8.639
0.003 5.150 2.053
5.424 6.847 11.120
5.424 11.149 4.533
2.716 0.848 11.120
2.716 5.150 4.533
2.711 6.847 8.639
2.711 11.149 2.053
0.000 0.000 0.000
0.000 5.999 6.586
2.713 0.000 6.586
2.713 5.999 0.000
```


Structure and computed powder XRD pattern of Ho3ErSc (the GGA-PBE geometry in Alexandria; λ = 1.5418 Å (Cu Kα)).

Largest 10 diffraction maxima, in order of rising 2θ, 10 to 80 degrees two-theta:
two_theta, d (Å), intensity
29.14, 3.064, 240
32.50, 2.755, 240
33.46, 2.678, 1000
44.21, 2.049, 154
51.65, 1.770, 130
51.72, 1.768, 65
58.60, 1.575, 200
62.35, 1.489, 147
62.44, 1.487, 73
62.93, 1.477, 107

Structure:
```
Ho3ErSc
1.0
6.120 0.000 0.000
-3.055 5.788 0.000
-0.010 -3.077 8.431
Ho Er Sc
6 2 2
Cartesian
-0.504 1.562 0.437
-0.514 2.662 3.800
0.521 0.567 6.300
2.534 2.143 2.132
3.570 0.048 4.632
3.560 1.149 7.995
2.560 -2.050 7.143
0.496 4.760 1.288
0.499 -0.524 2.976
2.556 3.235 5.456
```


Structure and computed powder XRD pattern of Ho5Er2Sc (the GGA-PBE geometry in Alexandria; λ = 1.5418 Å (Cu Kα)).

Largest 10 diffraction maxima, in order of rising 2θ, 10 to 80 degrees two-theta:
two_theta, d (Å), intensity
31.41, 2.848, 1000
32.04, 2.793, 485
40.86, 2.209, 76
42.98, 2.104, 69
43.46, 2.082, 82
44.09, 2.054, 106
47.88, 1.900, 111
55.53, 1.655, 158
60.80, 1.523, 231
73.14, 1.294, 89

Structure:
```
Ho5Er2Sc
1.0
-4.417 4.417 6.162
4.417 -4.417 6.162
4.417 4.417 -6.162
Ho Er Sc
10 4 2
Cartesian
0.000 0.000 0.000
3.068 -1.349 2.036
5.766 -1.349 4.127
5.766 1.349 2.036
3.068 1.349 4.127
0.000 0.000 6.162
1.349 3.068 2.036
-1.349 3.068 4.127
-1.349 5.766 2.036
1.349 5.766 4.127
3.162 1.255 0.000
3.162 -1.255 6.162
1.255 5.672 0.000
1.255 3.162 6.162
0.000 0.000 3.081
0.000 0.000 9.243
```


Structure and computed powder XRD pattern of Ho2Er5Sc5 (the GGA-PBE geometry in Alexandria; λ = 1.5418 Å (Cu Kα)).

Largest 10 diffraction maxima, in order of rising 2θ, 10 to 80 degrees two-theta:
two_theta, d (Å), intensity
19.68, 4.512, 78
24.83, 3.586, 60
32.18, 2.781, 1000
37.30, 2.411, 334
37.40, 2.405, 167
53.79, 1.704, 230
53.88, 1.702, 114
64.00, 1.455, 135
64.16, 1.451, 267
67.33, 1.391, 115

Structure:
```
Ho2Er5Sc5
1.0
7.224 -2.405 0.000
7.224 2.405 0.000
-4.816 0.000 9.656
Ho Er Sc
2 5 5
Cartesian
0.020 0.000 2.377
9.613 0.000 7.278
2.431 0.000 4.833
4.766 0.000 2.394
7.224 0.000 0.000
4.866 0.000 7.262
7.201 0.000 4.823
-2.408 0.000 4.828
2.460 0.000 0.013
-0.021 0.000 7.275
9.653 0.000 2.381
7.173 0.000 9.643
```


Structure and computed powder XRD pattern of HoEr2Sc4 (the GGA-PBE geometry in Alexandria; λ = 1.5418 Å (Cu Kα)).

Largest 10 diffraction maxima, in order of rising 2θ, 10 to 80 degrees two-theta:
two_theta, d (Å), intensity
16.08, 5.513, 460
26.63, 3.347, 603
29.06, 3.073, 390
32.48, 2.756, 396
35.35, 2.539, 328
35.64, 2.519, 1000
37.26, 2.413, 143
51.89, 1.762, 244
57.38, 1.606, 191
60.01, 1.542, 198

Structure:
```
HoEr2Sc4
1.0
5.268 -5.513 0.000
5.268 5.513 0.000
0.000 0.000 3.358
Ho Er Sc
1 2 4
Cartesian
0.000 0.000 0.000
3.203 0.000 1.679
7.334 0.000 1.679
2.634 2.756 0.000
5.268 2.531 1.679
2.634 -2.756 0.000
5.268 -2.531 1.679
```


Structure and computed powder XRD pattern of HoEr15Sc4 (the GGA-PBE geometry in Alexandria; λ = 1.5418 Å (Cu Kα)).

Largest 10 diffraction maxima, in order of rising 2θ, 10 to 80 degrees two-theta:
two_theta, d (Å), intensity
18.14, 4.891, 83
25.76, 3.458, 73
31.69, 2.824, 1000
36.75, 2.445, 503
41.28, 2.187, 44
45.43, 1.997, 33
52.95, 1.729, 352
63.04, 1.475, 414
66.19, 1.412, 119
78.14, 1.223, 38

Structure:
```
HoEr15Sc4
1.0
4.893 0.000 0.000
0.000 4.893 0.000
0.000 0.000 24.434
Ho Er Sc
1 15 4
Cartesian
0.000 0.000 0.000
0.000 2.446 2.513
0.000 2.446 7.364
0.000 2.446 12.217
0.000 2.446 17.070
0.000 2.446 21.921
2.446 0.000 2.513
2.446 0.000 7.364
2.446 0.000 12.217
2.446 0.000 17.070
2.446 0.000 21.921
2.446 2.446 0.000
2.446 2.446 4.945
2.446 2.446 9.790
2.446 2.446 14.644
2.446 2.446 19.489
0.000 0.000 4.934
0.000 0.000 9.791
0.000 0.000 14.643
0.000 0.000 19.500
```


Structure and computed powder XRD pattern of Ho2Er3Sc8 (the GGA-PBE geometry in Alexandria; λ = 1.5418 Å (Cu Kα)).

Largest 10 diffraction maxima, in order of rising 2θ, 10 to 80 degrees two-theta:
two_theta, d (Å), intensity
12.31, 7.188, 773
24.77, 3.594, 435
26.35, 3.382, 445
26.62, 3.349, 425
27.51, 3.242, 500
30.87, 2.896, 1000
32.92, 2.721, 713
33.38, 2.684, 954
34.09, 2.630, 788
36.15, 2.485, 526

Structure:
```
Ho2Er3Sc8
1.0
6.848 -4.317 0.000
6.848 4.317 0.000
-2.102 0.000 6.215
Ho Er Sc
2 3 8
Cartesian
2.273 0.000 2.635
9.321 0.000 3.580
0.000 0.000 0.000
5.797 2.758 3.107
5.797 -2.758 3.107
0.778 0.000 5.559
3.448 1.582 5.220
5.340 0.000 1.602
8.146 1.582 0.995
3.448 -1.582 5.220
6.254 0.000 4.613
8.146 -1.582 0.995
10.815 0.000 0.656
```


Structure and computed powder XRD pattern of HoEr8Sc2 (the GGA-PBE geometry in Alexandria; λ = 1.5418 Å (Cu Kα)).

Largest 10 diffraction maxima, in order of rising 2θ, 10 to 80 degrees two-theta:
two_theta, d (Å), intensity
31.40, 2.849, 764
32.21, 2.779, 1000
33.60, 2.667, 225
33.87, 2.647, 408
34.23, 2.620, 448
35.11, 2.556, 147
42.09, 2.147, 127
48.92, 1.862, 264
55.32, 1.661, 125
60.03, 1.541, 334

Structure:
```
HoEr8Sc2
1.0
8.487 -2.620 0.000
8.487 2.620 0.000
-3.495 0.000 7.370
Ho Er Sc
1 8 2
Cartesian
0.000 0.000 0.000
0.435 0.000 3.329
-0.240 0.000 6.672
3.012 0.000 5.868
7.113 0.000 2.044
6.366 0.000 5.327
10.466 0.000 1.502
13.719 0.000 0.699
13.043 0.000 4.042
3.769 0.000 2.537
9.709 0.000 4.834
```


What did the fifth record say?
Structure and computed powder XRD pattern of Ho4Er2Sc (the GGA-PBE geometry in Alexandria; λ = 1.5418 Å (Cu Kα)).

Largest 10 diffraction maxima, in order of rising 2θ, 10 to 80 degrees two-theta:
two_theta, d (Å), intensity
27.11, 3.289, 158
30.57, 2.924, 201
30.92, 2.892, 1000
32.67, 2.741, 838
32.81, 2.730, 191
33.01, 2.713, 496
34.55, 2.596, 280
47.23, 1.924, 138
57.66, 1.599, 265
58.74, 1.572, 158

Structure:
```
Ho4Er2Sc
1.0
5.427 0.000 0.000
0.000 11.997 0.000
0.000 0.000 13.173
Ho Er Sc
16 8 4
Cartesian
0.011 1.712 2.375
0.011 2.927 5.596
0.011 3.071 12.182
0.011 4.287 8.961
2.702 7.710 2.375
2.703 8.926 5.596
2.703 9.070 12.182
2.702 10.285 8.961
2.725 1.712 4.211
2.724 2.927 0.990
2.724 3.071 7.577
2.725 4.287 10.798
5.416 7.710 4.211
5.416 8.926 0.990
5.416 9.070 7.577
5.416 10.285 10.798
0.003 0.848 8.639
0.003 5.150 2.053
5.424 6.847 11.120
5.424 11.149 4.533
2.716 0.848 11.120
2.716 5.150 4.533
2.711 6.847 8.639
2.711 11.149 2.053
0.000 0.000 0.000
0.000 5.999 6.586
2.713 0.000 6.586
2.713 5.999 0.000
```